This entry pairs a crystal structure of Ac8Ir3I4Br with its theoretical X-ray diffraction stick pattern. Radiation: Cu Kα (λ = 1.5418 Å). Structure: the PBE geometry in Alexandria.

Structural model:
```
Ac8Ir3I4Br
1.0
7.7977 -4.5002 0.0000
7.7977 4.5002 0.0000
-5.2081 0.0000 8.6213
Ac Ir I Br
8 3 4 1
Direct
0.1992 0.7457 0.6903
0.2275 0.2275 0.6822
0.2543 0.2543 0.3098
0.2543 0.8008 0.3097
0.7457 0.1992 0.6903
0.7457 0.7457 0.6902
0.7725 0.7725 0.3178
0.8008 0.2543 0.3097
0.0000 0.0000 0.5000
0.0000 0.5000 0.5000
0.5000 0.0000 0.5000
0.0000 0.0000 0.0000
0.0000 0.5000 0.0000
0.5000 0.0000 0.0000
0.5000 0.5000 0.0000
0.5000 0.5000 0.5000
```

Main lines, by angle (2θ from 15° to 90°):
2θ = 26.70°, 3.338 Å, I = 100; 2θ = 28.68°, 3.113 Å, I = 10; 2θ = 33.41°, 2.682 Å, I = 18; 2θ = 36.09°, 2.488 Å, I = 30; 2θ = 40.06°, 2.251 Å, I = 38; 2θ = 45.03°, 2.013 Å, I = 12; 2θ = 48.80°, 1.866 Å, I = 18; 2θ = 51.58°, 1.772 Å, I = 15; 2θ = 55.01°, 1.669 Å, I = 14; 2θ = 64.91°, 1.437 Å, I = 17; 2θ = 68.56°, 1.369 Å, I = 10; 2θ = 70.20°, 1.341 Å, I = 9

=====

This entry pairs a crystal structure of BaAsPd3Pb with its theoretical X-ray diffraction stick pattern. Radiation: Cu Kα (λ = 1.5418 Å). Structure: the PBE geometry in Alexandria.

Structural model:
```
BaAsPd3Pb
1.0
3.5817 -6.7545 0.0000
3.5817 6.7545 0.0000
0.0000 0.0000 6.5921
Ba As Pd Pb
2 2 6 2
Direct
0.2389 0.7611 0.7500
0.7611 0.2389 0.2500
0.0815 0.9185 0.2500
0.9185 0.0815 0.7500
0.1994 0.1994 0.0000
0.1994 0.1994 0.5000
0.2564 0.7436 0.2500
0.7436 0.2564 0.7500
0.8006 0.8006 0.0000
0.8006 0.8006 0.5000
0.4529 0.5471 0.2500
0.5471 0.4529 0.7500
```

Main lines, by angle (2θ from 15° to 90°):
2θ = 24.86°, 3.582 Å, I = 35; 2θ = 26.39°, 3.377 Å, I = 61; 2θ = 27.03°, 3.299 Å, I = 84; 2θ = 30.17°, 2.962 Å, I = 22; 2θ = 30.58°, 2.923 Å, I = 25; 2θ = 37.07°, 2.425 Å, I = 100; 2θ = 38.13°, 2.360 Å, I = 21; 2θ = 45.14°, 2.009 Å, I = 20; 2θ = 46.07°, 1.970 Å, I = 45; 2θ = 47.73°, 1.905 Å, I = 40; 2θ = 49.00°, 1.859 Å, I = 29; 2θ = 55.77°, 1.648 Å, I = 21

=====

This entry pairs a crystal structure of Pr2Mg12Cd5 with its theoretical X-ray diffraction stick pattern. Radiation: Cu Kα (λ = 1.5418 Å). Structure: the PBE geometry in Alexandria.

Structural model:
```
Pr2Mg12Cd5
1.0
5.0873 2.9371 5.0131
-5.0873 2.9371 5.0131
0.0000 -5.8743 5.0131
Pr Mg Cd
2 12 5
Direct
0.1705 0.1705 0.1705
0.8295 0.8295 0.8295
0.1495 0.1495 0.6581
0.1495 0.6581 0.1495
0.1989 0.5000 0.8011
0.1989 0.8011 0.5000
0.3419 0.8505 0.8505
0.5000 0.1989 0.8011
0.5000 0.8011 0.1989
0.6581 0.1495 0.1495
0.8011 0.1989 0.5000
0.8011 0.5000 0.1989
0.8505 0.3419 0.8505
0.8505 0.8505 0.3419
0.0000 0.5000 0.5000
0.4025 0.4025 0.4025
0.5000 0.0000 0.5000
0.5000 0.5000 0.0000
0.5975 0.5975 0.5975
```

Main lines, by angle (2θ from 15° to 90°):
2θ = 17.43°, 5.087 Å, I = 46; 2θ = 21.01°, 4.228 Å, I = 23; 2θ = 24.94°, 3.571 Å, I = 54; 2θ = 25.76°, 3.458 Å, I = 31; 2θ = 30.43°, 2.937 Å, I = 39; 2θ = 35.28°, 2.544 Å, I = 100; 2θ = 35.42°, 2.534 Å, I = 61; 2θ = 36.03°, 2.493 Å, I = 32; 2θ = 36.16°, 2.484 Å, I = 61; 2θ = 63.33°, 1.469 Å, I = 23; 2θ = 63.88°, 1.457 Å, I = 28; 2θ = 64.12°, 1.452 Å, I = 20

=====

This entry pairs a crystal structure of Ga8Pd2Pt3 with its theoretical X-ray diffraction stick pattern. Radiation: Cu Kα (λ = 1.5418 Å). Structure: the PBE geometry in Alexandria.

Structural model:
```
Ga8Pd2Pt3
1.0
7.3634 0.0000 0.0000
0.0000 4.3404 0.0000
-2.3685 0.0000 6.9923
Ga Pd Pt
8 2 3
Direct
0.1064 0.0000 0.3658
0.1267 0.5000 0.8758
0.3618 0.0000 0.1094
0.3658 0.5000 0.6347
0.6342 0.5000 0.3653
0.6382 0.0000 0.8906
0.8733 0.5000 0.1242
0.8936 0.0000 0.6342
0.2575 0.0000 0.7482
0.7425 0.0000 0.2518
0.2492 0.5000 0.2536
0.5000 0.0000 0.5000
0.7508 0.5000 0.7464
```

Main lines, by angle (2θ from 15° to 90°):
2θ = 25.34°, 3.515 Å, I = 17; 2θ = 25.51°, 3.492 Å, I = 18; 2θ = 32.17°, 2.783 Å, I = 8; 2θ = 32.92°, 2.721 Å, I = 16; 2θ = 41.61°, 2.170 Å, I = 27; 2θ = 42.06°, 2.148 Å, I = 25; 2θ = 42.26°, 2.138 Å, I = 100; 2θ = 60.65°, 1.527 Å, I = 17; 2θ = 76.39°, 1.247 Å, I = 17; 2θ = 76.91°, 1.240 Å, I = 8; 2θ = 77.09°, 1.237 Å, I = 8; 2θ = 77.42°, 1.233 Å, I = 8

=====

This entry pairs a crystal structure of TaSn3 with its theoretical X-ray diffraction stick pattern. Radiation: Cu Kα (λ = 1.5418 Å). Structure: the PBE geometry in Alexandria.

Structural model:
```
TaSn3
1.0
3.0463 0.0000 0.0000
0.0000 4.9188 0.0000
0.0000 0.0000 13.7245
Ta Sn
2 6
Direct
0.0000 0.0000 0.0000
0.5000 0.5000 0.5000
0.0000 0.0000 0.5000
0.0000 0.5000 0.3102
0.0000 0.5000 0.6898
0.5000 0.0000 0.1898
0.5000 0.0000 0.8102
0.5000 0.5000 0.0000
```

Main lines, by angle (2θ from 15° to 90°):
2θ = 19.17°, 4.630 Å, I = 25; 2θ = 25.97°, 3.431 Å, I = 27; 2θ = 26.61°, 3.350 Å, I = 14; 2θ = 35.40°, 2.536 Å, I = 19; 2θ = 36.54°, 2.459 Å, I = 34; 2θ = 37.10°, 2.423 Å, I = 100; 2θ = 37.52°, 2.397 Å, I = 18; 2θ = 39.39°, 2.287 Å, I = 19; 2θ = 43.80°, 2.067 Å, I = 23; 2θ = 54.81°, 1.675 Å, I = 15; 2θ = 65.23°, 1.430 Å, I = 26; 2θ = 66.14°, 1.413 Å, I = 19

=====

This entry pairs a crystal structure of AlIn3 with its theoretical X-ray diffraction stick pattern. Radiation: Cu Kα (λ = 1.5418 Å). Structure: the PBE geometry in Alexandria.

Structural model:
```
AlIn3
1.0
3.2522 0.0000 0.0000
-1.6261 2.8165 0.0000
0.0000 0.0000 32.2558
Al In
3 9
Direct
0.0000 0.0000 0.0000
0.3333 0.6667 0.6667
0.6667 0.3333 0.3333
0.0000 0.0000 0.2562
0.0000 0.0000 0.5000
0.0000 0.0000 0.7438
0.3333 0.6667 0.1667
0.3333 0.6667 0.4105
0.3333 0.6667 0.9228
0.6667 0.3333 0.0772
0.6667 0.3333 0.5895
0.6667 0.3333 0.8333
```

Main lines, by angle (2θ from 15° to 90°):
2θ = 16.49°, 5.376 Å, I = 9; 2θ = 24.84°, 3.584 Å, I = 15; 2θ = 33.33°, 2.688 Å, I = 30; 2θ = 33.71°, 2.659 Å, I = 100; 2θ = 34.75°, 2.581 Å, I = 12; 2θ = 39.01°, 2.309 Å, I = 64; 2θ = 48.92°, 1.862 Å, I = 10; 2θ = 56.10°, 1.639 Å, I = 18; 2θ = 56.60°, 1.626 Å, I = 22; 2θ = 67.30°, 1.391 Å, I = 23; 2θ = 67.52°, 1.387 Å, I = 13; 2θ = 70.88°, 1.329 Å, I = 10

=====

This entry pairs a crystal structure of Pm2Ho3Al2 with its theoretical X-ray diffraction stick pattern. Radiation: Cu Kα (λ = 1.5418 Å). Structure: the PBE geometry in Alexandria.

Structural model:
```
Pm2Ho3Al2
1.0
9.2016 0.0000 0.0000
0.0000 5.3178 0.0000
-3.0760 0.0000 7.9065
Pm Ho Al
4 6 4
Direct
0.0853 0.0000 0.2552
0.4147 0.5000 0.7448
0.5853 0.5000 0.2552
0.9147 0.0000 0.7448
0.0000 0.5000 0.5000
0.1519 0.5000 0.9555
0.3481 0.0000 0.0445
0.5000 0.0000 0.5000
0.6519 0.0000 0.9555
0.8481 0.5000 0.0445
0.2196 0.0000 0.6593
0.2804 0.5000 0.3407
0.7196 0.5000 0.6593
0.7804 0.0000 0.3407
```

Main lines, by angle (2θ from 15° to 90°):
2θ = 20.70°, 4.291 Å, I = 10; 2θ = 24.48°, 3.636 Å, I = 14; 2θ = 26.99°, 3.304 Å, I = 41; 2θ = 32.82°, 2.729 Å, I = 88; 2θ = 33.73°, 2.658 Å, I = 100; 2θ = 43.72°, 2.071 Å, I = 11; 2θ = 47.77°, 1.904 Å, I = 31; 2θ = 56.32°, 1.633 Å, I = 11; 2θ = 58.17°, 1.586 Å, I = 19; 2θ = 59.75°, 1.548 Å, I = 32; 2θ = 60.32°, 1.534 Å, I = 19; 2θ = 70.92°, 1.329 Å, I = 12

=====

This entry pairs a crystal structure of Fe2IrRh8 with its theoretical X-ray diffraction stick pattern. Radiation: Cu Kα (λ = 1.5418 Å). Structure: the PBE geometry in Alexandria.

Structural model:
```
Fe2IrRh8
1.0
3.9375 -5.0471 0.0000
3.9375 5.0471 0.0000
0.0000 0.0000 4.0014
Fe Ir Rh
2 1 8
Direct
0.1154 0.8846 0.0000
0.8846 0.1154 0.0000
0.5000 0.5000 0.5000
0.1649 0.1649 0.5000
0.1967 0.4628 0.0000
0.2420 0.7580 0.5000
0.4628 0.1967 0.0000
0.5372 0.8033 0.0000
0.7580 0.2420 0.5000
0.8033 0.5372 0.0000
0.8351 0.8351 0.5000
```

Main lines, by angle (2θ from 15° to 90°):
2θ = 31.89°, 2.807 Å, I = 28; 2θ = 36.69°, 2.450 Å, I = 16; 2θ = 42.13°, 2.145 Å, I = 91; 2θ = 42.34°, 2.135 Å, I = 100; 2θ = 43.74°, 2.070 Å, I = 50; 2θ = 45.33°, 2.001 Å, I = 42; 2θ = 57.60°, 1.600 Å, I = 14; 2θ = 64.81°, 1.438 Å, I = 30; 2θ = 79.53°, 1.205 Å, I = 19; 2θ = 81.51°, 1.181 Å, I = 13; 2θ = 81.65°, 1.179 Å, I = 14; 2θ = 87.18°, 1.118 Å, I = 24